(1)
Diffraction record for Ce4TeSe2S. The PXRD pattern is calculated, not measured: it uses the GGA-PBE geometry in Alexandria and CuKα.
No peak broadening, texture or thermal motion is included.

Structural model:
```
Ce4TeSe2S
1.0
-4.227 4.239 5.989
4.227 -4.239 5.989
4.227 4.239 -5.989
Ce Te Se S
8 2 4 2
Cartesian
4.227 1.993 -0.143 Ce
0.000 1.986 0.000 Ce
2.015 0.000 2.831 Ce
6.439 0.000 2.831 Ce
-2.015 4.239 3.010 Ce
2.015 4.239 3.010 Ce
0.000 2.246 5.846 Ce
0.000 6.491 0.000 Ce
2.111 4.239 -0.074 Te
2.116 0.000 5.915 Te
4.227 2.123 2.920 Se
0.000 2.116 8.909 Se
-2.113 4.239 5.915 Se
2.113 4.239 5.915 Se
0.000 2.116 2.920 S
0.000 6.361 2.920 S
```

Peak list (6 most intense, 2θ = 10–90°, in order of falling intensity)
| 2θ/deg | I_rel |
| --- | --- |
| 29.85 | 1000 |
| 42.70 | 608 |
| 70.30 | 258 |
| 25.77 | 138 |
| 53.03 | 127 |
| 52.93 | 126 |

(2)
Diffraction record for Ce4TeSeS2. The PXRD pattern is calculated, not measured: it uses the GGA-PBE geometry in Alexandria and CuKα.
No peak broadening, texture or thermal motion is included.

Structural model:
```
Ce4TeSeS2
1.0
-4.159 4.209 5.919
4.159 -4.209 5.919
4.159 4.209 -5.919
Ce Te Se S
8 2 2 4
Cartesian
1.991 2.105 0.155 Ce
2.168 -2.105 6.074 Ce
0.000 0.220 2.896 Ce
4.159 0.220 3.023 Ce
0.000 3.989 2.896 Ce
4.159 3.989 3.023 Ce
1.991 6.314 -0.155 Ce
2.168 2.105 5.764 Ce
2.080 2.105 -2.960 Te
2.080 -2.105 2.960 Te
4.159 0.000 0.000 Se
0.000 0.000 5.919 Se
0.000 0.000 0.000 S
-2.080 2.105 2.960 S
0.000 4.209 0.000 S
2.080 2.105 2.960 S
```

Peak list (6 most intense, 2θ = 10–90°, in order of falling intensity)
| 2θ/deg | I_rel |
| --- | --- |
| 30.21 | 1000 |
| 43.24 | 471 |
| 71.26 | 185 |
| 53.88 | 125 |
| 43.52 | 123 |
| 53.42 | 113 |

(3)
Diffraction record for Ce2TmSe2S2. The PXRD pattern is calculated, not measured: it uses the GGA-PBE geometry in Alexandria and CuKα.
No peak broadening, texture or thermal motion is included.

Structural model:
```
Ce2TmSe2S2
1.0
5.039 0.000 0.000
0.000 5.039 0.000
0.000 0.000 14.992
Ce Tm Se S
4 2 4 4
Cartesian
0.000 0.000 1.849 Ce
0.000 0.000 13.144 Ce
2.519 2.519 5.647 Ce
2.519 2.519 9.345 Ce
0.000 0.000 7.496 Tm
2.519 2.519 0.000 Tm
0.000 0.000 4.734 Se
0.000 0.000 10.258 Se
2.519 2.519 2.762 Se
2.519 2.519 12.231 Se
0.000 2.519 0.000 S
0.000 2.519 7.496 S
2.519 0.000 0.000 S
2.519 0.000 7.496 S
```

Peak list (6 most intense, 2θ = 10–90°, in order of falling intensity)
| 2θ/deg | I_rel |
| --- | --- |
| 24.99 | 1000 |
| 34.81 | 885 |
| 35.63 | 622 |
| 50.67 | 535 |
| 25.10 | 291 |
| 57.88 | 231 |

(4)
Diffraction record for Ce2SiS5. The PXRD pattern is calculated, not measured: it uses the GGA-PBE geometry in Alexandria and CuKα.
No peak broadening, texture or thermal motion is included.

Structural model:
```
Ce2SiS5
1.0
11.397 0.000 0.000
0.000 8.503 0.000
-2.636 0.000 8.104
Ce Si S
8 4 20
Cartesian
-0.288 1.078 1.893 Ce
-1.606 3.174 5.944 Ce
4.171 1.148 0.404 Ce
2.854 3.104 4.456 Ce
5.908 5.400 3.648 Ce
4.590 7.356 7.699 Ce
10.368 5.330 2.159 Ce
9.050 7.425 6.211 Ce
3.398 4.951 0.182 Si
2.080 7.805 4.234 Si
6.682 0.699 3.870 Si
5.364 3.553 7.922 Si
-1.206 0.993 7.646 S
0.111 3.259 3.594 S
1.282 5.247 0.001 S
-0.035 7.508 4.053 S
2.456 0.782 2.699 S
1.138 3.470 6.750 S
3.046 6.006 3.759 S
1.729 6.749 7.811 S
2.792 0.487 5.882 S
4.109 3.765 1.831 S
4.652 4.739 6.273 S
5.970 8.017 2.221 S
7.033 1.755 0.293 S
5.715 2.497 4.344 S
7.624 5.034 1.353 S
6.306 7.722 5.405 S
8.797 0.995 4.051 S
7.479 3.257 8.102 S
8.650 5.245 4.510 S
9.968 7.510 0.458 S
```

Peak list (6 most intense, 2θ = 10–90°, in order of falling intensity)
| 2θ/deg | I_rel |
| --- | --- |
| 38.16 | 1000 |
| 26.15 | 906 |
| 23.63 | 689 |
| 36.87 | 658 |
| 24.64 | 621 |
| 22.98 | 516 |

Copy entry 3 word for word.
Diffraction record for Ce2TmSe2S2. The PXRD pattern is calculated, not measured: it uses the GGA-PBE geometry in Alexandria and CuKα.
No peak broadening, texture or thermal motion is included.

Structural model:
```
Ce2TmSe2S2
1.0
5.039 0.000 0.000
0.000 5.039 0.000
0.000 0.000 14.992
Ce Tm Se S
4 2 4 4
Cartesian
0.000 0.000 1.849 Ce
0.000 0.000 13.144 Ce
2.519 2.519 5.647 Ce
2.519 2.519 9.345 Ce
0.000 0.000 7.496 Tm
2.519 2.519 0.000 Tm
0.000 0.000 4.734 Se
0.000 0.000 10.258 Se
2.519 2.519 2.762 Se
2.519 2.519 12.231 Se
0.000 2.519 0.000 S
0.000 2.519 7.496 S
2.519 0.000 0.000 S
2.519 0.000 7.496 S
```

Peak list (6 most intense, 2θ = 10–90°, in order of falling intensity)
| 2θ/deg | I_rel |
| --- | --- |
| 24.99 | 1000 |
| 34.81 | 885 |
| 35.63 | 622 |
| 50.67 | 535 |
| 25.10 | 291 |
| 57.88 | 231 |